# 1
# Mn4GaFe5
Theoretical PXRD pattern, copper Kα. Input: the PBE geometry in Alexandria.
Peak positions follow from Bragg's law for the DFT cell and can differ from measured ones.

Most intense lines, 2θ from 10° to 90°, most intense first:
h k l	2θ (°)	Rel. int.
0 2 1	44.22	100
2 2 2	46.36	98
2 0 1	43.84	95
2 0 0	44.49	55
0 0 3	44.81	52
1 1 -2	43.06	50
1 0 3	45.72	49
1 2 -1	45.14	44

```
data_Mn4GaFe5
_space_group_name_H-M_alt 'P 1'
_space_group_IT_number 1
_cell_length_a 4.784
_cell_length_b 4.821
_cell_length_c 6.407
_cell_angle_alpha 75.57
_cell_angle_beta 72.61
_cell_angle_gamma 60.52
loop_
_space_group_symop_operation_xyz
'x,y,z'
loop_
_atom_site_label
_atom_site_fract_x
_atom_site_fract_y
_atom_site_fract_z
_atom_site_occupancy
Mn1 0.000 0.000 0.000 1
Mn2 0.085 0.546 0.767 1
Mn3 0.297 0.296 0.156 1
Mn4 0.581 0.034 0.784 1
Ga1 0.205 0.771 0.364 1
Fe1 0.131 0.149 0.596 1
Fe2 0.553 0.538 0.773 1
Fe3 0.686 0.621 0.078 1
Fe4 0.689 0.262 0.408 1
Fe5 0.702 0.760 0.418 1
```

# 2
# Mn4GaFe3
Theoretical PXRD pattern, copper Kα. Input: the PBE geometry in Alexandria.
Peak positions follow from Bragg's law for the DFT cell and can differ from measured ones.

Most intense lines, 2θ from 10° to 90°, most intense first:
h k l	2θ (°)	Rel. int.
1 1 2	44.65	100
2 0 0	44.95	50
3 1 2	82.71	28
2 2 0	65.45	15
2 0 4	82.06	14
0 0 4	64.51	7
1 1 1	35.09	1
2 0 3	67.21	1

```
data_Mn4GaFe3
_space_group_name_H-M_alt 'P 4/m m m'
_space_group_IT_number 123
_space_group_name_Hall '-P 4 2'
_cell_length_a 4.033
_cell_length_b 4.033
_cell_length_c 5.778
_cell_angle_alpha 90.00
_cell_angle_beta 90.00
_cell_angle_gamma 90.00
loop_
_atom_site_label
_atom_site_fract_x
_atom_site_fract_y
_atom_site_fract_z
_atom_site_occupancy
Mn1 0.000 0.500 0.237 1
Ga1 0.000 0.000 0.500 1
Fe1 0.000 0.000 0.000 1
Fe2 0.500 0.500 0.000 1
Fe3 0.500 0.500 0.500 1
```

# 3
# MnGa5Fe10
Theoretical PXRD pattern, copper Kα. Input: the PBE geometry in Alexandria.
Peak positions follow from Bragg's law for the DFT cell and can differ from measured ones.

Most intense lines, 2θ from 10° to 90°, most intense first:
h k l	2θ (°)	Rel. int.
4 1 1	44.50	100
4 2 0	43.42	55
2 0 2	43.23	52
2 2 2	47.63	32
3 2 1	39.83	24
0 0 2	38.43	21
5 2 1	56.70	20
4 1 3	73.74	20

```
data_MnGa5Fe10
_space_group_name_H-M_alt 'I 4 2 2'
_space_group_IT_number 97
_space_group_name_Hall 'I 4 2'
_cell_length_a 9.321
_cell_length_b 9.321
_cell_length_c 4.685
_cell_angle_alpha 90.00
_cell_angle_beta 90.00
_cell_angle_gamma 90.00
loop_
_atom_site_label
_atom_site_fract_x
_atom_site_fract_y
_atom_site_fract_z
_atom_site_occupancy
Mn1 0.000 0.000 0.000 1
Ga1 0.000 0.000 0.500 1
Ga2 0.170 0.330 0.750 1
Fe1 0.000 0.500 0.000 1
Fe2 0.072 0.234 0.254 1
```

# 4
# Mn2Ga3Fe
Theoretical PXRD pattern, copper Kα. Input: the PBE geometry in Alexandria.
Peak positions follow from Bragg's law for the DFT cell and can differ from measured ones.

Most intense lines, 2θ from 10° to 90°, most intense first:
h k l	2θ (°)	Rel. int.
0 3 2	41.71	100
2 0 0	48.02	33
2 0 -4	49.57	15
4 0 -4	71.53	14
2 3 2	85.11	11
4 3 -2	85.21	11
2 6 0	70.26	10
2 3 -6	87.43	5

```
data_Mn2Ga3Fe
_space_group_name_H-M_alt 'P 1 21/c 1'
_space_group_IT_number 14
_cell_length_a 5.275
_cell_length_b 11.366
_cell_length_c 7.356
_cell_angle_alpha 90.00
_cell_angle_beta 134.07
_cell_angle_gamma 90.00
loop_
_space_group_symop_operation_xyz
'x,y,z'
'-x,-y,-z'
'-x,y+1/2,-z+1/2'
'x,-y+1/2,z+1/2'
loop_
_atom_site_label
_atom_site_fract_x
_atom_site_fract_y
_atom_site_fract_z
_atom_site_occupancy
Mn1 0.246 0.082 0.373 1
Mn2 0.250 0.749 0.875 1
Ga1 0.250 0.250 0.125 1
Ga2 0.251 0.583 0.125 1
Ga3 0.251 0.583 0.626 1
Fe1 0.252 0.082 0.876 1
```